Diffraction record for KV4O10. The powder XRD pattern is theoretical, not measured: it uses a DFT-relaxed cell (PBE+U, Alexandria) and Cu Kα.

Cell and atoms:
Lattice parameters (Å, degrees): 6.158 6.158 9.838 91.71 91.71 35.17
Fractional coordinates of all 15 atoms:
K (0.000, 0.000, 0.000)
V (0.171, 0.171, 0.365)
V (0.346, 0.346, 0.679)
V (0.468, 0.468, 0.369)
V (0.642, 0.642, 0.683)
O (0.003, 0.003, 0.397)
O (0.170, 0.170, 0.639)
O (0.180, 0.180, 0.201)
O (0.322, 0.322, 0.425)
O (0.368, 0.368, 0.844)
O (0.453, 0.453, 0.203)
O (0.487, 0.487, 0.615)
O (0.623, 0.623, 0.847)
O (0.642, 0.642, 0.407)
O (0.809, 0.809, 0.653)

The 6 most intense peaks (5° ≤ 2θ ≤ 70°), in order of rising 2θ:
- 2θ 8.99, d 9.833, rel. 100
- 2θ 17.35, d 5.110, rel. 14
- 2θ 25.11, d 3.547, rel. 17
- 2θ 26.64, d 3.347, rel. 26
- 2θ 27.21, d 3.278, rel. 25
- 2θ 48.96, d 1.860, rel. 14

=====

Diffraction record for KV4O10. The powder XRD pattern is theoretical, not measured: it uses a DFT-relaxed cell (PBE+U, Alexandria) and Cu Kα.

Cell and atoms:
Lattice parameters (Å, degrees): 6.150 6.150 19.365 90.00 90.00 144.89
Fractional coordinates of all 30 atoms:
K (0.081, 0.919, 0.750)
K (0.919, 0.081, 0.250)
V (0.269, 0.731, 0.082)
V (0.269, 0.731, 0.418)
V (0.436, 0.564, 0.579)
V (0.436, 0.564, 0.921)
V (0.564, 0.436, 0.079)
V (0.564, 0.436, 0.421)
V (0.731, 0.269, 0.582)
V (0.731, 0.269, 0.918)
O (0.101, 0.899, 0.066)
O (0.101, 0.899, 0.434)
O (0.260, 0.740, 0.560)
O (0.260, 0.740, 0.940)
O (0.292, 0.708, 0.165)
O (0.292, 0.708, 0.335)
O (0.420, 0.580, 0.048)
O (0.420, 0.580, 0.452)
O (0.455, 0.545, 0.663)
O (0.455, 0.545, 0.837)
O (0.545, 0.455, 0.163)
O (0.545, 0.455, 0.337)
O (0.580, 0.420, 0.548)
O (0.580, 0.420, 0.952)
O (0.708, 0.292, 0.665)
O (0.708, 0.292, 0.835)
O (0.740, 0.260, 0.060)
O (0.740, 0.260, 0.440)
O (0.899, 0.101, 0.566)
O (0.899, 0.101, 0.934)

The 6 most intense peaks (5° ≤ 2θ ≤ 70°), in order of rising 2θ:
- 2θ 9.13, d 9.682, rel. 100
- 2θ 20.46, d 4.340, rel. 24
- 2θ 25.18, d 3.537, rel. 20
- 2θ 27.64, d 3.227, rel. 31
- 2θ 33.60, d 2.667, rel. 47
- 2θ 49.12, d 1.855, rel. 17